Diffraction record for NbTlTeO5. The X-ray powder pattern is theoretical, not measured: it uses a crystal structure in Alexandria, relaxed with PBE and a wavelength of 1.5418 Å.

Top 10 peaks for 5° ≤ 2θ ≤ 70°, low angle first:
- 3.646 Å, rel. 24
- 3.552 Å, rel. 88
- 3.485 Å, rel. 65
- 2.902 Å, rel. 100
- 2.896 Å, rel. 46
- 2.776 Å, rel. 24
- 2.573 Å, rel. 23
- 2.424 Å, rel. 24
- 1.899 Å, rel. 34
- 1.639 Å, rel. 21

Atomic structure:
```
NbTlTeO5
1.0
3.7324 -4.7698 0.0000
3.7324 4.7698 0.0000
-2.3529 0.0000 7.2912
Nb Tl Te O
2 2 2 10
Cartesian
0.0000 0.0000 0.0000
-1.1764 0.0000 3.6456
1.9678 1.6656 5.4684
3.1442 -1.6656 1.8228
3.1442 1.6171 1.8228
1.9678 -1.6171 5.4684
1.9678 4.1982 5.4684
2.0479 2.8878 2.8155
1.7719 0.8192 0.3512
4.2405 2.8878 0.8301
0.5955 -0.8192 3.9968
4.5166 0.8192 3.2944
0.8715 -2.8878 6.4611
3.3401 -0.8192 6.9400
3.0641 -2.8878 4.4757
3.1442 -4.1982 1.8228
```



Diffraction record for NbTlTeO6. The X-ray powder pattern is theoretical, not measured: it uses a crystal structure in Alexandria, relaxed with PBE and a wavelength of 1.5418 Å.

Top 10 peaks for 5° ≤ 2θ ≤ 70°, low angle first:
- 3.788 Å, rel. 14
- 3.691 Å, rel. 52
- 3.200 Å, rel. 52
- 3.141 Å, rel. 100
- 3.122 Å, rel. 28
- 3.057 Å, rel. 21
- 2.989 Å, rel. 21
- 2.038 Å, rel. 17
- 1.993 Å, rel. 17
- 1.846 Å, rel. 35

Atomic structure:
```
NbTlTeO6
1.0
-3.6617 5.1763 3.7878
3.6617 -5.1763 3.7878
3.6617 5.1763 -3.7878
Nb Tl Te O
2 2 2 12
Cartesian
1.8309 2.4690 0.0000
1.8309 2.7073 3.7878
1.8309 -1.2945 2.3082
1.8309 6.4708 -1.4797
0.0000 5.1763 1.7044
0.0000 0.0000 5.4922
3.2604 1.2673 -0.6911
4.0631 -3.9089 3.0968
5.4926 -1.8777 1.7459
1.8309 1.8777 1.7459
0.4053 3.9001 0.3095
3.2564 3.9001 0.3095
1.8309 -0.7578 5.4441
0.4053 1.2762 4.0973
3.2564 1.2762 4.0973
0.4013 3.9089 3.0968
3.2604 3.9089 3.0968
1.8309 5.9341 1.6563
```



Diffraction record for Th2NbTlO8. The X-ray powder pattern is theoretical, not measured: it uses a crystal structure in Alexandria, relaxed with PBE and a wavelength of 1.5418 Å.

Top 10 peaks for 5° ≤ 2θ ≤ 70°, low angle first:
- 3.596 Å, rel. 96
- 3.428 Å, rel. 74
- 3.000 Å, rel. 100
- 2.941 Å, rel. 90
- 2.481 Å, rel. 48
- 1.940 Å, rel. 35
- 1.923 Å, rel. 34
- 1.901 Å, rel. 30
- 1.855 Å, rel. 40
- 1.500 Å, rel. 27

Atomic structure:
```
Th2NbTlO8
1.0
3.4295 -3.5959 0.0000
3.4295 3.5959 0.0000
-0.2129 0.0000 7.4147
Th Nb Tl O
2 1 1 8
Cartesian
0.1684 0.0000 1.9144
6.4776 0.0000 5.5003
3.3230 0.0000 3.7074
3.4295 0.0000 0.0000
1.1489 0.0000 7.2837
1.3078 0.0000 3.8921
3.1588 1.3379 2.1753
3.4872 1.3379 5.2394
3.1588 -1.3379 2.1753
3.4872 -1.3379 5.2394
5.3382 0.0000 3.5226
5.4971 0.0000 0.1311
```



Diffraction record for Ti3NbO8. The X-ray powder pattern is theoretical, not measured: it uses a crystal structure in Alexandria, relaxed with PBE and a wavelength of 1.5418 Å.

Top 10 peaks for 5° ≤ 2θ ≤ 70°, low angle first:
- 9.447 Å, rel. 21
- 3.356 Å, rel. 92
- 3.323 Å, rel. 92
- 2.526 Å, rel. 100
- 2.361 Å, rel. 19
- 2.232 Å, rel. 25
- 1.729 Å, rel. 53
- 1.720 Å, rel. 55
- 1.678 Å, rel. 17
- 1.393 Å, rel. 37

Atomic structure:
```
Ti3NbO8
1.0
4.7213 0.0000 0.0000
0.0000 2.9889 0.0000
-0.0941 0.0000 9.4469
Ti Nb O
3 1 8
Cartesian
0.0000 0.0000 0.0000
2.2648 1.4944 7.1790
2.3624 1.4944 2.2679
-0.0471 0.0000 4.7235
0.8140 1.4944 8.5299
0.9639 1.4944 3.7441
1.3526 0.0000 6.1976
1.4508 0.0000 1.4063
3.1763 0.0000 8.0407
3.2746 0.0000 3.2494
3.6632 1.4944 5.7028
3.8131 1.4944 0.9170
```